Computed powder XRD pattern of Y2NCl3 for λ = 1.5418 Å (Cu Kα), from a PBE-relaxed structure.
Lines closer than 0.1° are merged.

Structure:
```
Y2NCl3
1.0
8.239 -1.925 0.000
8.239 1.925 0.000
-5.682 0.000 9.169
Y N Cl
4 2 6
direct
0.084 0.084 0.456
0.363 0.363 0.208
0.637 0.637 0.792
0.916 0.916 0.544
0.076 0.076 0.657
0.924 0.924 0.343
0.167 0.167 0.013
0.280 0.280 0.386
0.454 0.454 0.750
0.546 0.546 0.250
0.720 0.720 0.614
0.833 0.833 0.987
```

Peak list (10 most intense, 2θ = 5–70°, most intense first)
2θ 11.15, intensity 100.0
2θ 27.15, intensity 60.6
2θ 9.65, intensity 48.6
2θ 28.76, intensity 44.4
2θ 33.11, intensity 41.6
2θ 34.29, intensity 37.3
2θ 45.14, intensity 28.1
2θ 33.61, intensity 27.3
2θ 35.98, intensity 27.0
2θ 38.06, intensity 21.0

***

Computed powder XRD pattern of Sm3Ni for λ = 1.5418 Å (Cu Kα), from a PBE-relaxed structure.
Lines closer than 0.1° are merged.

Structure:
```
Sm3Ni
1.0
6.919 0.000 0.000
0.000 9.771 0.000
0.000 0.000 6.402
Sm Ni
12 4
direct
0.034 0.250 0.138
0.179 0.065 0.678
0.179 0.435 0.678
0.321 0.565 0.178
0.321 0.935 0.178
0.466 0.750 0.638
0.534 0.250 0.362
0.679 0.065 0.822
0.679 0.435 0.822
0.821 0.565 0.322
0.821 0.935 0.322
0.966 0.750 0.862
0.109 0.750 0.436
0.391 0.250 0.936
0.609 0.750 0.064
0.891 0.250 0.564
```

Peak list (10 most intense, 2θ = 5–70°, most intense first)
2θ 30.79, intensity 100.0
2θ 32.14, intensity 40.4
2θ 31.69, intensity 33.1
2θ 34.72, intensity 31.8
2θ 33.47, intensity 29.6
2θ 56.75, intensity 29.6
2θ 41.63, intensity 15.0
2θ 48.36, intensity 14.0
2θ 52.98, intensity 13.7
2θ 58.97, intensity 13.6

***

Computed powder XRD pattern of Co2As for λ = 1.5418 Å (Cu Kα), from a PBE-relaxed structure.
Lines closer than 0.1° are merged.

Structure:
```
Co2As
1.0
3.916 0.000 0.000
-1.958 3.391 0.000
0.000 0.000 2.760
Co As
2 1
direct
0.000 0.000 0.000
0.333 0.667 0.500
0.667 0.333 0.000
```

Peak list (7 most intense, 2θ = 5–70°, most intense first)
2θ 42.21, intensity 100.0
2θ 46.38, intensity 87.1
2θ 64.50, intensity 26.4
2θ 57.73, intensity 13.4
2θ 32.43, intensity 12.0
2θ 67.91, intensity 8.7
2θ 26.28, intensity 2.3